[1]
The following is a calculated X-ray diffraction stick pattern of ThCu3Au10. It was derived from a crystal structure in Alexandria, relaxed with PBE, using Cu Kα.
Lines closer than 0.1° are merged.

Top 12 peaks for 2θ from 10° to 90°, low angle first:
2θ (°)  I_rel
31.0  36
34.0  20
36.2  100
39.5  32
41.4  53
46.7  23
59.0  13
60.9  27
62.3  13
65.9  16
71.6  24
86.3  14

Cell and atoms:
abc: 9.1270 9.1270 9.1270
angles: 60.00 60.00 60.00
Positions (direct):
Th: 0.2500 0.2500 0.2500
Th: 0.7500 0.7500 0.7500
Cu: 0.2292 0.2292 0.7708
Cu: 0.2292 0.7708 0.2292
Cu: 0.2292 0.7708 0.7708
Cu: 0.7708 0.2292 0.2292
Cu: 0.7708 0.2292 0.7708
Cu: 0.7708 0.7708 0.2292
Au: 0.1183 0.1183 0.1183
Au: 0.1183 0.1183 0.6452
Au: 0.1183 0.6452 0.1183
Au: 0.1563 0.5000 0.5000
Au: 0.1563 0.5000 0.8437
Au: 0.1563 0.8437 0.5000
Au: 0.3548 0.8817 0.8817
Au: 0.5000 0.1563 0.5000
Au: 0.5000 0.1563 0.8437
Au: 0.5000 0.5000 0.1563
Au: 0.5000 0.5000 0.8437
Au: 0.5000 0.8437 0.1563
Au: 0.5000 0.8437 0.5000
Au: 0.6452 0.1183 0.1183
Au: 0.8437 0.1563 0.5000
Au: 0.8437 0.5000 0.1563
Au: 0.8437 0.5000 0.5000
Au: 0.8817 0.3548 0.8817
Au: 0.8817 0.8817 0.3548
Au: 0.8817 0.8817 0.8817

---

[2]
The following is a calculated X-ray diffraction stick pattern of YTeRh3. It was derived from a crystal structure in Alexandria, relaxed with PBE, using Cu Kα.
Lines closer than 0.1° are merged.

Top 12 peaks for 2θ from 10° to 90°, low angle first:
2θ (°)  I_rel
18.4  41
26.1  22
32.1  57
37.2  100
41.8  20
46.0  9
53.7  68
57.2  10
63.9  22
67.2  23
79.4  11
88.2  9

Cell and atoms:
abc: 4.8284 4.8284 4.8284
angles: 90.00 90.00 90.00
Positions (direct):
Y: 0.0000 0.0000 0.0000
Te: 0.5000 0.5000 0.5000
Rh: 0.0000 0.5000 0.5000
Rh: 0.5000 0.0000 0.5000
Rh: 0.5000 0.5000 0.0000